Diffraction record for Y2TeO6. The powder XRD pattern is computed, not measured: it uses the GGA-PBE geometry in the Materials Project and Cu Kα (λ = 1.5418 Å).

abc: 7.719 5.453 11.541
angles: 90.00 103.92 90.00
Element x y z (fractional)
1 Y 0.000 0.187 0.250
2 Y 0.000 0.813 0.750
3 Y 0.289 0.306 0.923
4 Y 0.289 0.694 0.423
5 Y 0.500 0.241 0.250
6 Y 0.500 0.759 0.750
7 Y 0.711 0.306 0.577
8 Y 0.711 0.694 0.077
9 Te 0.226 0.246 0.615
10 Te 0.226 0.754 0.115
11 Te 0.774 0.246 0.885
12 Te 0.774 0.754 0.385
13 O 0.008 0.127 0.886
14 O 0.008 0.873 0.386
15 O 0.140 0.356 0.451
16 O 0.140 0.644 0.951
17 O 0.206 0.479 0.225
18 O 0.206 0.521 0.725
19 O 0.293 0.050 0.769
20 O 0.293 0.950 0.269
21 O 0.350 0.032 0.068
22 O 0.350 0.968 0.568
23 O 0.441 0.449 0.606
24 O 0.441 0.551 0.106
25 O 0.559 0.449 0.894
26 O 0.559 0.551 0.394
27 O 0.650 0.032 0.432
28 O 0.650 0.968 0.932
29 O 0.707 0.050 0.731
30 O 0.707 0.950 0.231
31 O 0.794 0.479 0.275
32 O 0.794 0.521 0.775
33 O 0.860 0.356 0.049
34 O 0.860 0.644 0.549
35 O 0.992 0.127 0.614
36 O 0.992 0.873 0.114

Most intense lines, 2θ = 15–90°, low angle first:
Position (°2θ)  d/Å  I_rel  hkl
23.75  3.746  15  2 0 0
28.42  3.141  98  2 1 -1
28.98  3.081  100  0 1 3
31.54  2.836  14  2 1 1
31.77  2.817  14  2 0 2
32.85  2.727  22  0 2 0
35.09  2.557  14  2 0 -4
46.35  1.959  18  2 2 2
48.81  1.866  39  2 2 -4
56.28  1.635  12  0 3 3